1.
Zn3Sn2Ru2: computed powder X-ray diffraction pattern (Cu Kα (weighted mean of Kα1 and Kα2)), based on a GGA-PBE-relaxed structure.

Crystal structure
a b c (Å): 8.309 4.210 13.902
angles (deg): 90.00 90.00 90.00
Atoms (fractional coordinates):
1 Zn 0.035 0.250 0.041
2 Zn 0.090 0.250 0.244
3 Zn 0.157 0.750 0.630
4 Zn 0.343 0.250 0.130
5 Zn 0.410 0.750 0.744
6 Zn 0.465 0.750 0.541
7 Zn 0.535 0.250 0.459
8 Zn 0.590 0.250 0.256
9 Zn 0.657 0.750 0.870
10 Zn 0.843 0.250 0.370
11 Zn 0.910 0.750 0.756
12 Zn 0.965 0.750 0.959
13 Sn 0.149 0.250 0.476
14 Sn 0.154 0.250 0.804
15 Sn 0.346 0.750 0.304
16 Sn 0.351 0.750 0.976
17 Sn 0.649 0.250 0.024
18 Sn 0.654 0.250 0.696
19 Sn 0.846 0.750 0.196
20 Sn 0.851 0.750 0.524
21 Ru 0.042 0.750 0.356
22 Ru 0.150 0.750 0.132
23 Ru 0.350 0.250 0.632
24 Ru 0.458 0.250 0.856
25 Ru 0.542 0.750 0.144
26 Ru 0.650 0.750 0.368
27 Ru 0.850 0.250 0.868
28 Ru 0.958 0.250 0.644

Main lines, low angle first (10° ≤ 2θ ≤ 80°):
2θ 30.64, intensity 36; 2θ 37.84, intensity 39; 2θ 38.82, intensity 48; 2θ 40.03, intensity 100; 2θ 40.41, intensity 21; 2θ 41.12, intensity 77; 2θ 42.97, intensity 54; 2θ 58.57, intensity 23



2.
Dy2ZnAg: computed powder X-ray diffraction pattern (Cu Kα (weighted mean of Kα1 and Kα2)), based on a GGA-PBE-relaxed structure.

Crystal structure
a b c (Å): 5.105 5.105 5.105
angles (deg): 60.00 60.00 60.00
Atoms (fractional coordinates):
1 Dy 0.250 0.250 0.250
2 Dy 0.750 0.750 0.750
3 Zn 0.000 0.000 0.000
4 Ag 0.500 0.500 0.500

Main lines, low angle first (10° ≤ 2θ ≤ 80°):
2θ 24.66, intensity 9; 2θ 35.16, intensity 100; 2θ 43.42, intensity 3; 2θ 50.57, intensity 18; 2θ 57.05, intensity 4; 2θ 63.09, intensity 36; 2θ 74.32, intensity 11; 2θ 79.69, intensity 2